This entry pairs a crystal structure of CuAg4 with its theoretical powder diffraction line list. Radiation: Cu Kα X-rays. Structure: a GGA-PBE-relaxed structure.
Kinematic intensities with the Lorentz-polarization factor, no thermal factor.

Largest 12 diffraction maxima, in order of rising 2θ, 2θ from 5° to 70°:
2θ 33.8, I = 2, (1 0 3)
2θ 35.9, I = 18, (1 0 4)
2θ 38.5, I = 100, (1 0 5)
2θ 40.9, I = 12, (0 0 9)
2θ 41.4, I = 5, (1 0 6)
2θ 44.2, I = 41, (1 1 0)
2θ 45.7, I = 7, (0 0 10)
2θ 50.6, I = 1, (0 0 11)
2θ 61.8, I = 13, (1 1 9)
2θ 64.3, I = 13, (2 0 0)
2θ 65.5, I = 9, (1 1 10)
2θ 69.4, I = 2, (1 1 11)

Atomic structure:
a = 2.8964 Å, b = 2.8964 Å, c = 19.8589 Å
α = 90.00°, β = 90.00°, γ = 90.00°
Space group P4/nmm (No. 129, origin choice 2)
Asymmetric unit:
Cu (0.2500, 0.2500, 0.0360) [2 per cell]
Ag (0.2500, 0.2500, 0.2338) [2 per cell]
Ag (0.2500, 0.2500, 0.4468) [2 per cell]
Ag (0.2500, 0.2500, 0.6597) [2 per cell]
Ag (0.2500, 0.2500, 0.8733) [2 per cell]